# 1
Starting from DFT lattice parameters and positions (PBE), the X-ray diffraction stick pattern of Cs2CrCu2Se4 was simulated for Cu Kα.
Neutral-atom scattering factors, no anomalous dispersion.

The 10 most intense peaks (2θ from 10° to 80°), low angle first:
- 26.78 deg, I 34
- 28.47 deg, I 43
- 29.00 deg, I 34
- 29.50 deg, I 62
- 30.67 deg, I 47
- 31.28 deg, I 100
- 33.66 deg, I 51
- 45.86 deg, I 37
- 49.89 deg, I 28
- 50.06 deg, I 61

Structure:
```
Cs2CrCu2Se4
1.0
7.3912 -1.9787 0.0000
7.3912 1.9787 0.0000
-2.4603 0.0000 7.9013
Cs Cr Cu Se
2 1 2 4
Direct
0.1343 0.1343 0.0644 Cs
0.8657 0.8657 0.9356 Cs
0.0000 0.0000 0.5000 Cr
0.3115 0.3115 0.5142 Cu
0.6885 0.6885 0.4858 Cu
0.1834 0.1834 0.6568 Se
0.4796 0.4796 0.6931 Se
0.5204 0.5204 0.3069 Se
0.8166 0.8166 0.3432 Se
```

# 2
Starting from DFT lattice parameters and positions (PBE), the X-ray diffraction stick pattern of Ag2HgI5 was simulated for Cu Kα.
Neutral-atom scattering factors, no anomalous dispersion.

The 10 most intense peaks (2θ from 10° to 80°), low angle first:
- 12.90 deg, I 49
- 14.57 deg, I 45
- 26.29 deg, I 100
- 29.25 deg, I 34
- 29.70 deg, I 36
- 32.93 deg, I 41
- 35.75 deg, I 27
- 39.73 deg, I 30
- 40.06 deg, I 39
- 42.61 deg, I 49

Structure:
```
Ag2HgI5
1.0
3.3904 -6.8607 0.0000
3.3904 6.8607 0.0000
0.0000 0.0000 13.3898
Ag Hg I
4 2 10
Direct
0.1611 0.8389 0.5602 Ag
0.1611 0.8389 0.9398 Ag
0.8389 0.1611 0.0602 Ag
0.8389 0.1611 0.4398 Ag
0.2309 0.7691 0.2500 Hg
0.7691 0.2309 0.7500 Hg
0.0489 0.9511 0.1199 I
0.0489 0.9511 0.3801 I
0.2532 0.7468 0.7500 I
0.3374 0.6626 0.0648 I
0.3374 0.6626 0.4352 I
0.6626 0.3374 0.5648 I
0.6626 0.3374 0.9352 I
0.7468 0.2532 0.2500 I
0.9511 0.0489 0.6199 I
0.9511 0.0489 0.8801 I
```